# SrZn2Sb
Calculated X-ray powder pattern, Cu Kα X-rays. Input: a DFT-relaxed cell (PBE, Alexandria).

Largest 6 diffraction maxima, in order of falling intensity, 2θ from 10° to 90°:
2θ (°)	d_spacing	I (rel.)	index
34.07	2.631	100.0	1 1 0
35.55	2.525	38.4	1 0 2
62.90	1.478	19.5	2 1 2
60.02	1.541	16.1	1 2 2
46.68	1.946	11.5	0 2 0
51.78	1.765	11.4	1 1 3

Lattice parameters (Å, degrees): 3.5712 3.8917 7.1426 90.00 90.00 90.00
Sites, in units of the cell vectors:
Sr: 0.0000 0.0000 0.0000
Zn: 0.0000 0.0000 0.4661
Zn: 0.5000 0.5000 0.2986
Sb: 0.5000 0.5000 0.6878